Diffraction record for Li15Ca2Cd2. The powder diffraction line list is theoretical, not measured: it uses a cell relaxed with PBE and copper Kα.
Kinematic intensities with the Lorentz-polarization factor, no thermal factor.

Largest 10 diffraction maxima, sorted by position, 2θ = 10–90°:
2theta, I_rel
11.94, 55
17.76, 100
26.87, 29
31.02, 32
32.40, 22
32.84, 14
35.97, 25
37.19, 26
41.85, 19
48.21, 15

Atomic structure:
```
Li15Ca2Cd2
1.0
4.9937 2.8831 4.7899
-4.9937 2.8831 4.7899
0.0000 -5.7663 4.7899
Li Ca Cd
15 2 2
Direct
0.0000 0.0000 0.5000
0.0000 0.2778 0.7222
0.0000 0.5000 0.0000
0.0000 0.7222 0.2778
0.1365 0.6473 0.6473
0.2778 0.0000 0.7222
0.2778 0.7222 0.0000
0.3527 0.3527 0.8635
0.3527 0.8635 0.3527
0.5000 0.0000 0.0000
0.6473 0.1365 0.6473
0.6473 0.6473 0.1365
0.7222 0.0000 0.2778
0.7222 0.2778 0.0000
0.8635 0.3527 0.3527
0.3438 0.3438 0.3438
0.6562 0.6562 0.6562
0.1058 0.1058 0.1058
0.8942 0.8942 0.8942
```